# Li2CoO2
Calculated X-ray diffraction stick pattern, Cu Kα (λ = 1.5418 Å). Input: the PBE+U geometry in Alexandria.
No peak broadening, texture or thermal motion is included.

Top 8 peaks for 2θ from 10° to 80°, in order of falling intensity:
| h k l | d [Å] | Position (°2θ) | I (rel.) |
| --- | --- | --- | --- |
| 0 1 1 | 2.414 | 37.25 | 100 |
| 0 0 1 | 5.128 | 17.29 | 89 |
| 0 1 2 | 1.871 | 48.67 | 61 |
| 1 1 0 | 1.580 | 58.42 | 27 |
| 1 0 0 | 2.736 | 32.73 | 25 |
| 1 0 3 | 1.450 | 64.25 | 17 |
| 1 1 1 | 1.510 | 61.41 | 15 |
| 2 0 1 | 1.322 | 71.35 | 12 |

Structural model:
a = 3.160 Å, b = 3.160 Å, c = 5.128 Å
α = 90.00°, β = 90.00°, γ = 120.00°
Sites, in units of the cell vectors:
Li 0.333 0.667 0.142
Li 0.667 0.333 0.858
Co 0.000 0.000 0.500
O 0.333 0.667 0.737
O 0.667 0.333 0.263